1.
Simulated PXRD pattern
Compound: Y7O6F9
Radiation: Cu Ka
Structure: the PBE geometry in the Materials Project
Kinematic intensities with the Lorentz-polarization factor, no thermal factor.

Crystal structure
a = 13.228 Å, b = 6.427 Å, c = 7.930 Å
α = 90.00°, β = 103.27°, γ = 90.00°
Fractional positions:
Y 0.000 0.118 0.000
Y 0.000 0.882 0.500
Y 0.165 0.304 0.406
Y 0.165 0.696 0.906
Y 0.290 0.191 0.105
Y 0.290 0.809 0.605
Y 0.472 0.157 0.531
Y 0.472 0.843 0.031
Y 0.579 0.332 0.170
Y 0.579 0.668 0.670
Y 0.739 0.119 0.642
Y 0.739 0.881 0.142
Y 0.867 0.338 0.298
Y 0.867 0.662 0.798
O 0.146 0.078 0.184
O 0.146 0.922 0.684
O 0.301 0.099 0.462
O 0.301 0.901 0.962
O 0.451 0.112 0.226
O 0.451 0.888 0.726
O 0.602 0.057 0.033
O 0.602 0.943 0.533
O 0.739 0.166 0.349
O 0.739 0.834 0.849
O 0.904 0.029 0.193
O 0.904 0.971 0.693
F 0.011 0.397 0.186
F 0.011 0.603 0.686
F 0.014 0.238 0.496
F 0.014 0.762 0.996
F 0.127 0.353 0.931
F 0.127 0.647 0.431
F 0.246 0.485 0.239
F 0.246 0.515 0.739
F 0.407 0.493 0.078
F 0.407 0.507 0.578
F 0.556 0.430 0.432
F 0.556 0.570 0.932
F 0.612 0.300 0.734
F 0.612 0.700 0.234
F 0.756 0.490 0.602
F 0.756 0.510 0.102
F 0.864 0.325 0.886
F 0.864 0.675 0.386

Top 10 peaks for 15° ≤ 2θ ≤ 90°, by angle:
two_theta	I_rel
17.96	71
22.48	71
29.52	100
30.32	62
30.85	39
31.86	39
36.78	46
51.22	27
52.34	35
52.54	33


2.
Simulated PXRD pattern
Compound: YOF
Radiation: Cu Ka
Structure: the PBE geometry in the Materials Project
Kinematic intensities with the Lorentz-polarization factor, no thermal factor.

Crystal structure
a = 3.847 Å, b = 3.847 Å, c = 3.847 Å
α = 60.00°, β = 60.00°, γ = 60.00°
Fractional positions:
Y 0.000 0.000 0.000
O 0.750 0.750 0.750
F 0.250 0.250 0.250

Top 9 peaks for 15° ≤ 2θ ≤ 90°, by angle:
two_theta	I_rel
28.41	100
32.93	18
47.25	67
56.06	42
58.79	5
69.05	9
76.29	16
78.65	8
87.92	19


3.
Simulated PXRD pattern
Compound: Y5O4F7
Radiation: Cu Ka
Structure: the PBE geometry in the Materials Project
Kinematic intensities with the Lorentz-polarization factor, no thermal factor.

Crystal structure
a = 6.861 Å, b = 10.024 Å, c = 7.828 Å
α = 90.00°, β = 108.38°, γ = 90.00°
Fractional positions:
Y 0.000 0.022 0.000
Y 0.000 0.978 0.500
Y 0.052 0.296 0.730
Y 0.052 0.704 0.230
Y 0.134 0.340 0.279
Y 0.134 0.660 0.779
Y 0.509 0.225 0.083
Y 0.509 0.775 0.583
Y 0.558 0.153 0.654
Y 0.558 0.847 0.154
O 0.145 0.188 0.496
O 0.145 0.812 0.996
O 0.149 0.233 0.029
O 0.149 0.767 0.529
O 0.667 0.093 0.950
O 0.667 0.907 0.450
O 0.903 0.087 0.711
O 0.903 0.913 0.211
F 0.270 0.482 0.925
F 0.270 0.518 0.425
F 0.378 0.032 0.150
F 0.378 0.968 0.650
F 0.402 0.286 0.801
F 0.402 0.714 0.301
F 0.474 0.255 0.364
F 0.474 0.745 0.864
F 0.731 0.339 0.702
F 0.731 0.661 0.202
F 0.804 0.308 0.233
F 0.804 0.692 0.733
F 0.996 0.488 0.591
F 0.996 0.512 0.091

Top 10 peaks for 15° ≤ 2θ ≤ 90°, by angle:
two_theta	I_rel
17.70	60
22.38	42
25.18	76
25.58	53
27.40	94
29.60	62
29.94	49
30.06	100
36.15	50
53.91	52


4.
Simulated PXRD pattern
Compound: YO2F
Radiation: Cu Ka
Structure: the PBE geometry in the Materials Project
Kinematic intensities with the Lorentz-polarization factor, no thermal factor.

Crystal structure
a = 5.822 Å, b = 3.730 Å, c = 5.972 Å
α = 90.00°, β = 115.54°, γ = 90.00°
Fractional positions:
Y 0.000 0.000 0.000
Y 0.273 0.500 0.632
O 0.040 0.000 0.641
O 0.312 0.000 0.426
O 0.560 0.000 0.847
O 0.719 0.500 0.722
F 0.256 0.500 0.010
F 0.949 0.500 0.219

Top 10 peaks for 15° ≤ 2θ ≤ 90°, by angle:
two_theta	I_rel
16.45	49
16.88	100
17.79	50
28.39	30
29.12	44
29.37	35
29.91	52
30.05	33
42.08	48
52.27	39


5.
Simulated PXRD pattern
Compound: Y7O6F9
Radiation: Cu Ka
Structure: the PBE geometry in the Materials Project
Kinematic intensities with the Lorentz-polarization factor, no thermal factor.

Crystal structure
a = 5.523 Å, b = 19.917 Å, c = 19.917 Å
α = 163.90°, β = 90.00°, γ = 90.00°
Fractional positions:
Y 0.200 0.100 0.900
Y 0.200 0.400 0.600
Y 0.234 0.679 0.341
Y 0.234 0.841 0.179
Y 0.238 0.546 0.489
Y 0.238 0.989 0.046
Y 0.242 0.325 0.825
Y 0.758 0.825 0.325
Y 0.762 0.046 0.989
Y 0.762 0.489 0.546
Y 0.766 0.179 0.841
Y 0.766 0.341 0.679
Y 0.800 0.600 0.400
Y 0.800 0.900 0.100
O 0.000 0.263 0.263
O 0.000 0.763 0.763
O 0.021 0.384 0.099
O 0.021 0.599 0.884
O 0.039 0.354 0.214
O 0.039 0.714 0.854
O 0.500 0.278 0.278
O 0.500 0.778 0.778
O 0.961 0.214 0.354
O 0.961 0.854 0.714
O 0.979 0.099 0.384
O 0.979 0.884 0.599
F 0.050 0.002 0.571
F 0.050 0.071 0.502
F 0.371 0.702 0.202
F 0.401 0.344 0.946
F 0.401 0.446 0.844
F 0.455 0.100 0.254
F 0.455 0.754 0.600
F 0.466 0.178 0.461
F 0.466 0.961 0.678
F 0.534 0.461 0.178
F 0.534 0.678 0.961
F 0.545 0.254 0.100
F 0.545 0.600 0.754
F 0.599 0.844 0.446
F 0.599 0.946 0.344
F 0.629 0.202 0.702
F 0.950 0.502 0.071
F 0.950 0.571 0.002

Top 10 peaks for 15° ≤ 2θ ≤ 90°, by angle:
two_theta	I_rel
27.70	100
30.58	10
32.09	10
32.42	8
45.77	17
46.02	16
46.26	20
49.69	6
54.56	13
54.99	13


6.
Simulated PXRD pattern
Compound: YOF
Radiation: Cu Ka
Structure: the PBE geometry in the Materials Project
Kinematic intensities with the Lorentz-polarization factor, no thermal factor.

Crystal structure
a = 6.761 Å, b = 6.761 Å, c = 6.761 Å
α = 32.96°, β = 32.96°, γ = 32.96°
Fractional positions:
Y 0.241 0.241 0.241
Y 0.759 0.759 0.759
O 0.122 0.122 0.122
O 0.878 0.878 0.878
F 0.370 0.370 0.370
F 0.630 0.630 0.630

Top 10 peaks for 15° ≤ 2θ ≤ 90°, by angle:
two_theta	I_rel
27.94	30
28.44	100
32.81	22
46.75	39
47.40	44
55.35	11
55.92	24
56.21	14
68.78	11
76.52	11